# 1
Diffraction record for VF4. The XRD peak list is simulated, not measured: it uses DFT lattice parameters and positions (GGA+U) and Cu Kα X-rays.
Peak positions follow from Bragg's law for the DFT cell and can differ from measured ones.

Crystal structure
Cell lengths 5.9224, 5.1040, 9.6958 Å; angles 90.00, 92.20, 90.00 degrees
Atoms (fractional coordinates):
V1 0.1415 0.0212 0.3656
V2 0.1415 0.4788 0.8656
V3 0.8585 0.5212 0.1344
V4 0.8585 0.9788 0.6344
F1 0.0396 0.2002 0.2007
F2 0.0396 0.2998 0.7007
F3 0.1549 0.6166 0.0556
F4 0.1549 0.8834 0.5556
F5 0.2620 0.1817 0.9290
F6 0.2620 0.3183 0.4290
F7 0.3792 0.6451 0.8106
F8 0.3792 0.8549 0.3106
F9 0.6208 0.1451 0.6894
F10 0.6208 0.3549 0.1894
F11 0.7380 0.6817 0.5710
F12 0.7380 0.8183 0.0710
F13 0.8451 0.1166 0.4444
F14 0.8451 0.3834 0.9444
F15 0.9604 0.7002 0.2993
F16 0.9604 0.7998 0.7993

Most intense lines, 10 to 90 degrees two-theta, low angle first:
15.0 deg, d 5.918, I = 100; 19.7 deg, d 4.516, I = 87; 23.3 deg, d 3.821, I = 42; 24.2 deg, d 3.680, I = 35; 25.0 deg, d 3.559, I = 78; 32.8 deg, d 2.729, I = 22; 39.3 deg, d 2.295, I = 25; 39.7 deg, d 2.270, I = 27; 41.3 deg, d 2.188, I = 24; 50.1 deg, d 1.820, I = 18; 51.3 deg, d 1.780, I = 17; 53.4 deg, d 1.715, I = 19

=====

# 2
Diffraction record for VF4. The XRD peak list is simulated, not measured: it uses DFT lattice parameters and positions (GGA+U) and Cu Kα X-rays.
Peak positions follow from Bragg's law for the DFT cell and can differ from measured ones.

Crystal structure
Cell lengths 5.7572, 5.7572, 4.9874 Å; angles 90.45, 90.45, 63.70 degrees
Atoms (fractional coordinates):
V1 0.1610 0.8390 0.7500
V2 0.8390 0.1610 0.2500
F1 0.0108 0.1949 0.5734
F2 0.1949 0.0108 0.0734
F3 0.2457 0.5289 0.8789
F4 0.4711 0.7543 0.6211
F5 0.5289 0.2457 0.3789
F6 0.7543 0.4711 0.1211
F7 0.8051 0.9892 0.9266
F8 0.9892 0.8051 0.4266

Most intense lines, 10 to 90 degrees two-theta, low angle first:
17.2 deg, d 5.161, I = 59; 18.1 deg, d 4.890, I = 100; 24.8 deg, d 3.595, I = 47; 24.9 deg, d 3.578, I = 58; 36.0 deg, d 2.497, I = 10; 36.2 deg, d 2.481, I = 9; 39.2 deg, d 2.297, I = 50; 40.8 deg, d 2.213, I = 30; 51.2 deg, d 1.784, I = 26; 52.7 deg, d 1.738, I = 12; 63.8 deg, d 1.458, I = 12; 68.1 deg, d 1.377, I = 10

=====

# 3
Diffraction record for VF4. The XRD peak list is simulated, not measured: it uses DFT lattice parameters and positions (GGA+U) and Cu Kα X-rays.
Peak positions follow from Bragg's law for the DFT cell and can differ from measured ones.

Crystal structure
Cell lengths 5.5677, 5.5721, 6.5359 Å; angles 65.34, 64.79, 90.00 degrees
Atoms (fractional coordinates):
V1 0.0000 0.0000 0.0000
V2 0.4875 0.5054 0.0004
F1 0.0402 0.0512 0.2391
F2 0.2021 0.5537 0.2382
F3 0.2686 0.2991 0.7700
F4 0.4402 0.7986 0.7705
F5 0.5416 0.2286 0.2339
F6 0.7039 0.7304 0.2320
F7 0.7736 0.4661 0.7605
F8 0.9476 0.9644 0.7607

Most intense lines, 10 to 90 degrees two-theta, low angle first:
16.9 deg, d 5.247, I = 68; 22.6 deg, d 3.938, I = 100; 28.2 deg, d 3.162, I = 30; 28.4 deg, d 3.138, I = 30; 36.5 deg, d 2.459, I = 12; 37.0 deg, d 2.428, I = 19; 37.2 deg, d 2.419, I = 20; 46.1 deg, d 1.969, I = 12; 47.3 deg, d 1.921, I = 8; 47.6 deg, d 1.909, I = 18; 47.9 deg, d 1.899, I = 9; 71.9 deg, d 1.313, I = 13

=====

# 4
Diffraction record for VF3. The XRD peak list is simulated, not measured: it uses DFT lattice parameters and positions (GGA+U) and Cu Kα X-rays.
Peak positions follow from Bragg's law for the DFT cell and can differ from measured ones.

Crystal structure
Cell lengths 5.4024, 7.4953, 5.1457 Å; angles 90.00, 90.00, 90.00 degrees
Atoms (fractional coordinates):
V1 0.0000 0.0000 0.0000
V2 0.0000 0.5000 0.0000
V3 0.5000 0.0000 0.5000
V4 0.5000 0.5000 0.5000
F1 0.0283 0.2500 0.1210
F2 0.1896 0.0597 0.6832
F3 0.1896 0.4403 0.6832
F4 0.3104 0.5597 0.1832
F5 0.3104 0.9403 0.1832
F6 0.4717 0.7500 0.6210
F7 0.5283 0.2500 0.3790
F8 0.6896 0.0597 0.8168
F9 0.6896 0.4403 0.8168
F10 0.8104 0.5597 0.3168
F11 0.8104 0.9403 0.3168
F12 0.9717 0.7500 0.8790

Most intense lines, 10 to 90 degrees two-theta, low angle first:
23.7 deg, d 3.748, I = 53; 23.9 deg, d 3.726, I = 100; 33.2 deg, d 2.701, I = 10; 33.9 deg, d 2.642, I = 22; 40.1 deg, d 2.248, I = 14; 48.6 deg, d 1.874, I = 10; 48.9 deg, d 1.863, I = 18; 53.9 deg, d 1.700, I = 15; 54.8 deg, d 1.674, I = 21; 55.0 deg, d 1.668, I = 19; 59.7 deg, d 1.548, I = 9; 61.9 deg, d 1.498, I = 17

=====

# 5
Diffraction record for V3F10. The XRD peak list is simulated, not measured: it uses DFT lattice parameters and positions (GGA+U) and Cu Kα X-rays.
Peak positions follow from Bragg's law for the DFT cell and can differ from measured ones.

Crystal structure
Cell lengths 6.4314, 7.3121, 7.7006 Å; angles 90.00, 90.00, 90.00 degrees
Atoms (fractional coordinates):
V1 0.0000 0.0019 0.2500
V2 0.0000 0.9981 0.7500
V3 0.5000 0.2724 0.7500
V4 0.5000 0.2735 0.2500
V5 0.5000 0.7265 0.7500
V6 0.5000 0.7276 0.2500
F1 0.0675 0.0000 0.0000
F2 0.2039 0.1935 0.7025
F3 0.2039 0.8065 0.2975
F4 0.2052 0.1993 0.2885
F5 0.2052 0.8007 0.7115
F6 0.3366 0.4911 0.7042
F7 0.3366 0.5089 0.2958
F8 0.4304 0.2711 0.9910
F9 0.4304 0.7289 0.0090
F10 0.5000 0.0122 0.7500
F11 0.5000 0.9878 0.2500
F12 0.5696 0.2711 0.5090
F13 0.5696 0.7289 0.4910
F14 0.6634 0.4911 0.7958
F15 0.6634 0.5089 0.2042
F16 0.7948 0.1993 0.2115
F17 0.7948 0.8007 0.7885
F18 0.7961 0.1935 0.7975
F19 0.7961 0.8065 0.2025
F20 0.9325 0.0000 0.5000

Most intense lines, 10 to 90 degrees two-theta, low angle first:
12.1 deg, d 7.312, I = 33; 13.8 deg, d 6.431, I = 57; 18.4 deg, d 4.829, I = 72; 23.1 deg, d 3.850, I = 100; 27.7 deg, d 3.216, I = 21; 28.1 deg, d 3.178, I = 52; 46.8 deg, d 1.942, I = 24; 47.2 deg, d 1.925, I = 21; 49.3 deg, d 1.849, I = 25; 52.8 deg, d 1.734, I = 17; 55.1 deg, d 1.667, I = 22; 55.8 deg, d 1.647, I = 17

=====

# 6
Diffraction record for V3F10. The XRD peak list is simulated, not measured: it uses DFT lattice parameters and positions (GGA+U) and Cu Kα X-rays.
Peak positions follow from Bragg's law for the DFT cell and can differ from measured ones.

Crystal structure
Cell lengths 3.9476, 5.8796, 15.5776 Å; angles 90.00, 90.58, 90.00 degrees
Atoms (fractional coordinates):
V1 0.0000 0.0022 0.0000
V2 0.0000 0.9978 0.5000
V3 0.0066 0.4417 0.8603
V4 0.0066 0.5583 0.3603
V5 0.0105 0.4659 0.1545
V6 0.0105 0.5341 0.6545
F1 0.0103 0.2719 0.4248
F2 0.0103 0.7281 0.9248
F3 0.0281 0.2928 0.7449
F4 0.0281 0.7072 0.2449
F5 0.0431 0.3486 0.9890
F6 0.0431 0.6514 0.4890
F7 0.4978 0.0017 0.5005
F8 0.4978 0.9983 0.0005
F9 0.5052 0.4578 0.1466
F10 0.5052 0.5422 0.6466
F11 0.5064 0.4447 0.8604
F12 0.5064 0.5553 0.3604
F13 0.9628 0.1037 0.8797
F14 0.9628 0.8963 0.3797
F15 0.9865 0.3135 0.2665
F16 0.9865 0.6865 0.7665
F17 0.9895 0.2668 0.5792
F18 0.9895 0.7332 0.0792
F19 0.9921 0.1337 0.1126
F20 0.9921 0.8663 0.6126

Most intense lines, 10 to 90 degrees two-theta, low angle first:
11.4 deg, d 7.788, I = 17; 15.1 deg, d 5.880, I = 21; 18.9 deg, d 4.693, I = 67; 22.5 deg, d 3.947, I = 100; 22.8 deg, d 3.893, I = 8; 27.5 deg, d 3.247, I = 41; 30.4 deg, d 2.940, I = 11; 43.5 deg, d 2.081, I = 8; 46.0 deg, d 1.974, I = 28; 46.7 deg, d 1.946, I = 36; 52.3 deg, d 1.751, I = 19; 61.6 deg, d 1.506, I = 9

=====

# 7
Diffraction record for VF4. The XRD peak list is simulated, not measured: it uses DFT lattice parameters and positions (GGA+U) and Cu Kα X-rays.
Peak positions follow from Bragg's law for the DFT cell and can differ from measured ones.

Crystal structure
Cell lengths 7.6745, 7.6745, 7.6745 Å; angles 96.25, 96.25, 96.25 degrees
Atoms (fractional coordinates):
V1 0.0493 0.4196 0.3137
V2 0.3137 0.0493 0.4196
V3 0.4196 0.3137 0.0493
V4 0.5804 0.6863 0.9507
V5 0.6863 0.9507 0.5804
V6 0.9507 0.5804 0.6863
F1 0.0279 0.4015 0.7834
F2 0.0540 0.7668 0.8263
F3 0.1428 0.5855 0.5329
F4 0.1737 0.9460 0.2332
F5 0.1872 0.2553 0.4470
F6 0.2166 0.9721 0.5985
F7 0.2332 0.1737 0.9460
F8 0.2553 0.4470 0.1872
F9 0.4015 0.7834 0.0279
F10 0.4145 0.4671 0.8572
F11 0.4470 0.1872 0.2553
F12 0.4672 0.8572 0.4145
F13 0.5329 0.1428 0.5855
F14 0.5530 0.8128 0.7447
F15 0.5855 0.5328 0.1428
F16 0.5985 0.2166 0.9721
F17 0.7447 0.5530 0.8128
F18 0.7668 0.8263 0.0540
F19 0.7834 0.0279 0.4015
F20 0.8128 0.7447 0.5530
F21 0.8263 0.0540 0.7668
F22 0.8572 0.4145 0.4672
F23 0.9460 0.2332 0.1737
F24 0.9721 0.5985 0.2166

Most intense lines, 10 to 90 degrees two-theta, low angle first:
17.5 deg, d 5.054, I = 100; 19.5 deg, d 4.561, I = 37; 25.0 deg, d 3.565, I = 55; 27.0 deg, d 3.299, I = 10; 27.6 deg, d 3.232, I = 21; 28.3 deg, d 3.156, I = 11; 33.5 deg, d 2.673, I = 13; 41.8 deg, d 2.160, I = 20; 42.7 deg, d 2.118, I = 14; 45.6 deg, d 1.991, I = 11; 46.3 deg, d 1.959, I = 10; 51.3 deg, d 1.782, I = 10

=====

# 8
Diffraction record for V6F13. The XRD peak list is simulated, not measured: it uses DFT lattice parameters and positions (GGA+U) and Cu Kα X-rays.
Peak positions follow from Bragg's law for the DFT cell and can differ from measured ones.

Crystal structure
Cell lengths 8.1277, 8.1750, 10.5837 Å; angles 72.20, 75.68, 61.91 degrees
Atoms (fractional coordinates):
V1 0.0449 0.0737 0.2457
V2 0.1343 0.2800 0.5018
V3 0.2188 0.4249 0.0222
V4 0.2414 0.4973 0.7278
V5 0.3219 0.6324 0.2486
V6 0.4201 0.8445 0.4980
V7 0.5799 0.1555 0.5020
V8 0.6781 0.3676 0.7514
V9 0.7586 0.5027 0.2722
V10 0.7812 0.5751 0.9778
V11 0.8657 0.7200 0.4982
V12 0.9551 0.9263 0.7543
F1 0.0220 0.7313 0.6288
F2 0.0524 0.4218 0.8848
F3 0.1155 0.5549 0.3862
F4 0.1207 0.8606 0.1499
F5 0.1625 0.0050 0.6139
F6 0.1704 0.6867 0.8557
F7 0.2350 0.1693 0.1300
F8 0.2593 0.8384 0.3621
F9 0.3144 0.2950 0.6128
F10 0.3675 0.4562 0.1356
F11 0.3966 0.1234 0.4017
F12 0.4463 0.3178 0.8612
F13 0.4661 0.5715 0.6242
F14 0.5339 0.4285 0.3758
F15 0.5537 0.6822 0.1388
F16 0.6034 0.8766 0.5983
F17 0.6325 0.5438 0.8644
F18 0.6856 0.7050 0.3872
F19 0.7407 0.1616 0.6379
F20 0.7650 0.8307 0.8700
F21 0.8296 0.3133 0.1443
F22 0.8375 0.9950 0.3861
F23 0.8793 0.1394 0.8501
F24 0.8845 0.4451 0.6138
F25 0.9476 0.5782 0.1152
F26 0.9780 0.2687 0.3712

Most intense lines, 10 to 90 degrees two-theta, low angle first:
12.6 deg, d 7.033, I = 69; 16.9 deg, d 5.233, I = 34; 18.3 deg, d 4.845, I = 37; 18.5 deg, d 4.804, I = 100; 25.6 deg, d 3.485, I = 48; 26.5 deg, d 3.368, I = 44; 30.4 deg, d 2.945, I = 39; 32.7 deg, d 2.740, I = 49; 49.1 deg, d 1.854, I = 57; 49.6 deg, d 1.838, I = 41; 50.6 deg, d 1.804, I = 33; 58.4 deg, d 1.581, I = 33